No. 1
# Hf4AuC2
Simulated powder XRD pattern, Cu Kα (weighted mean of Kα1 and Kα2). Input: a DFT-relaxed cell (PBE, Alexandria).

Structural model:
Lattice parameters (Å, degrees): 5.907 5.907 11.916 90.00 90.00 146.80
Sites, in units of the cell vectors:
1 Hf 0.000 0.000 0.000
2 Hf 0.000 0.000 0.500
3 Hf 0.262 0.738 0.606
4 Hf 0.262 0.738 0.894
5 Hf 0.420 0.580 0.250
6 Hf 0.580 0.420 0.750
7 Hf 0.738 0.262 0.106
8 Hf 0.738 0.262 0.394
9 Au 0.109 0.891 0.250
10 Au 0.891 0.109 0.750
11 C 0.364 0.636 0.059
12 C 0.364 0.636 0.441
13 C 0.636 0.364 0.559
14 C 0.636 0.364 0.941

Principal peaks in the range 10 to 80 degrees two-theta, low angle first:
34.01°, rel. 71.8; 35.10°, rel. 43.0; 35.80°, rel. 87.5; 36.50°, rel. 100.0; 38.86°, rel. 25.8; 66.32°, rel. 40.3

No. 2
# Hf6Au2C
Simulated powder XRD pattern, Cu Kα (weighted mean of Kα1 and Kα2). Input: a DFT-relaxed cell (PBE, Alexandria).

Structural model:
Lattice parameters (Å, degrees): 5.884 6.410 10.857 90.00 120.08 90.00
Sites, in units of the cell vectors:
1 Hf 0.122 0.009 0.239
2 Hf 0.122 0.491 0.739
3 Hf 0.207 0.689 0.035
4 Hf 0.207 0.811 0.535
5 Hf 0.357 0.195 0.039
6 Hf 0.357 0.305 0.539
7 Hf 0.643 0.695 0.461
8 Hf 0.643 0.805 0.961
9 Hf 0.793 0.189 0.465
10 Hf 0.793 0.311 0.965
11 Hf 0.878 0.509 0.261
12 Hf 0.878 0.991 0.761
13 Au 0.334 0.094 0.757
14 Au 0.334 0.406 0.257
15 Au 0.666 0.594 0.743
16 Au 0.666 0.906 0.243
17 C 0.000 0.000 0.000
18 C 0.000 0.500 0.500

Principal peaks in the range 10 to 80 degrees two-theta, low angle first:
33.86°, rel. 100.0; 34.51°, rel. 48.6; 35.30°, rel. 56.4; 36.85°, rel. 54.1; 38.03°, rel. 35.3; 38.32°, rel. 53.0

No. 3
# La6HgAu2C
Simulated powder XRD pattern, Cu Kα (weighted mean of Kα1 and Kα2). Input: a DFT-relaxed cell (PBE, Alexandria).

Structural model:
Lattice parameters (Å, degrees): 6.926 8.177 12.340 90.00 120.86 90.00
Sites, in units of the cell vectors:
1 La 0.068 0.059 0.223
2 La 0.068 0.441 0.723
3 La 0.193 0.714 0.071
4 La 0.193 0.786 0.571
5 La 0.373 0.148 0.061
6 La 0.373 0.352 0.561
7 La 0.627 0.648 0.439
8 La 0.627 0.852 0.939
9 La 0.807 0.214 0.429
10 La 0.807 0.286 0.929
11 La 0.932 0.559 0.277
12 La 0.932 0.941 0.777
13 Hg 0.500 0.000 0.500
14 Hg 0.500 0.500 0.000
15 Au 0.308 0.109 0.740
16 Au 0.308 0.391 0.240
17 Au 0.692 0.609 0.760
18 Au 0.692 0.891 0.260
19 C 0.000 0.000 0.000
20 C 0.000 0.500 0.500

Principal peaks in the range 10 to 80 degrees two-theta, low angle first:
26.92°, rel. 48.5; 27.72°, rel. 49.1; 29.71°, rel. 100.0; 31.07°, rel. 42.2; 33.54°, rel. 39.8; 35.40°, rel. 44.3

No. 4
# HoTh2AuC
Simulated powder XRD pattern, Cu Kα (weighted mean of Kα1 and Kα2). Input: a DFT-relaxed cell (PBE, Alexandria).

Structural model:
Lattice parameters (Å, degrees): 5.031 5.031 4.830 90.00 90.00 90.00
Sites, in units of the cell vectors:
1 Ho 0.000 0.000 0.000
2 Th 0.000 0.500 0.500
3 Th 0.500 0.000 0.500
4 Au 0.500 0.500 0.001
5 C 0.000 0.000 0.500

Principal peaks in the range 10 to 80 degrees two-theta, low angle first:
31.23°, rel. 100.0; 35.70°, rel. 37.2; 37.23°, rel. 16.6; 52.53°, rel. 25.1; 61.36°, rel. 30.4; 63.42°, rel. 13.8

No. 5
# PIrAuC
Simulated powder XRD pattern, Cu Kα (weighted mean of Kα1 and Kα2). Input: a DFT-relaxed cell (PBE, Alexandria).

Structural model:
Lattice parameters (Å, degrees): 4.891 4.891 4.891 144.90 125.07 66.88
Sites, in units of the cell vectors:
1 P 0.000 0.000 0.000
2 Ir 0.610 0.110 0.500
3 Au 0.313 0.313 0.000
4 C 0.866 0.366 0.500

Principal peaks in the range 10 to 80 degrees two-theta, low angle first:
22.52°, rel. 76.1; 32.27°, rel. 93.1; 38.64°, rel. 80.9; 39.96°, rel. 45.4; 42.81°, rel. 100.0; 52.27°, rel. 48.3

No. 6
# PIrAuC
Simulated powder XRD pattern, Cu Kα (weighted mean of Kα1 and Kα2). Input: a DFT-relaxed cell (PBE, Alexandria).

Structural model:
Lattice parameters (Å, degrees): 4.139 2.997 5.317 90.00 95.32 90.00
Sites, in units of the cell vectors:
1 P 0.000 0.000 0.000
2 Ir 0.657 0.500 0.760
3 Au 0.130 0.000 0.442
4 C 0.349 0.000 0.826

Principal peaks in the range 10 to 80 degrees two-theta, low angle first:
16.75°, rel. 72.6; 26.14°, rel. 72.6; 28.66°, rel. 54.9; 34.38°, rel. 64.9; 37.09°, rel. 100.0; 45.73°, rel. 59.3

No. 7
# KAuC2N2
Simulated powder XRD pattern, Cu Kα (weighted mean of Kα1 and Kα2). Input: a DFT-relaxed cell (PBE, Alexandria).

Structural model:
Lattice parameters (Å, degrees): 9.822 9.822 9.822 45.10 45.10 45.10
Sites, in units of the cell vectors:
1 K 0.000 0.000 0.000
2 K 0.343 0.343 0.343
3 K 0.657 0.657 0.657
4 Au 0.000 0.000 0.500
5 Au 0.000 0.500 0.000
6 Au 0.500 0.000 0.000
7 C 0.023 0.436 0.830
8 C 0.170 0.977 0.564
9 C 0.436 0.830 0.023
10 C 0.564 0.170 0.977
11 C 0.830 0.023 0.436
12 C 0.977 0.564 0.170
13 N 0.036 0.397 0.732
14 N 0.268 0.964 0.603
15 N 0.397 0.732 0.036
16 N 0.603 0.268 0.964
17 N 0.732 0.036 0.397
18 N 0.964 0.603 0.268

Principal peaks in the range 10 to 80 degrees two-theta, low angle first:
10.04°, rel. 100.0; 20.17°, rel. 44.2; 25.72°, rel. 44.6; 27.55°, rel. 70.7; 28.18°, rel. 66.1; 30.56°, rel. 41.7

No. 8
# KNiAu3C6N6
Simulated powder XRD pattern, Cu Kα (weighted mean of Kα1 and Kα2). Input: a DFT-relaxed cell (PBE, Alexandria).

Structural model:
Lattice parameters (Å, degrees): 7.045 7.045 7.566 90.00 90.00 120.00
Sites, in units of the cell vectors:
1 K 0.000 0.000 0.000
2 Ni 0.333 0.667 0.000
3 Au 0.346 0.173 0.500
4 Au 0.827 0.173 0.500
5 Au 0.827 0.654 0.500
6 C 0.341 0.005 0.286
7 C 0.341 0.336 0.714
8 C 0.664 0.005 0.714
9 C 0.664 0.659 0.286
10 C 0.995 0.336 0.286
11 C 0.995 0.659 0.714
12 N 0.100 0.433 0.163
13 N 0.100 0.667 0.837
14 N 0.333 0.433 0.837
15 N 0.333 0.900 0.163
16 N 0.567 0.667 0.163
17 N 0.567 0.900 0.837

Principal peaks in the range 10 to 80 degrees two-theta, low angle first:
11.70°, rel. 100.0; 18.68°, rel. 81.4; 27.94°, rel. 42.6; 29.28°, rel. 69.9; 31.62°, rel. 97.2; 37.89°, rel. 80.5

No. 9
# LaAuC
Simulated powder XRD pattern, Cu Kα (weighted mean of Kα1 and Kα2). Input: a DFT-relaxed cell (PBE, Alexandria).

Structural model:
Lattice parameters (Å, degrees): 4.020 4.398 8.438 92.28 90.01 117.03
Sites, in units of the cell vectors:
1 La 0.000 0.000 0.000
2 La 0.300 0.600 0.362
3 Au 0.679 0.362 0.758
4 Au 0.988 0.978 0.596
5 C 0.576 0.153 0.216
6 C 0.728 0.454 0.151

Principal peaks in the range 10 to 80 degrees two-theta, low angle first:
10.49°, rel. 78.7; 27.29°, rel. 48.9; 30.47°, rel. 65.3; 33.19°, rel. 100.0; 40.39°, rel. 53.3; 41.22°, rel. 47.0

No. 10
# La2AuC2N6
Simulated powder XRD pattern, Cu Kα (weighted mean of Kα1 and Kα2). Input: a DFT-relaxed cell (PBE, Alexandria).

Structural model:
Lattice parameters (Å, degrees): 5.205 6.468 6.571 108.70 109.01 94.37
Sites, in units of the cell vectors:
1 La 0.138 0.264 0.288
2 La 0.862 0.736 0.712
3 Au 0.500 0.000 0.000
4 C 0.181 0.746 0.271
5 C 0.819 0.254 0.729
6 N 0.084 0.673 0.410
7 N 0.109 0.848 0.127
8 N 0.389 0.657 0.376
9 N 0.611 0.343 0.624
10 N 0.891 0.152 0.873
11 N 0.916 0.327 0.590

Principal peaks in the range 10 to 80 degrees two-theta, low angle first:
16.96°, rel. 100.0; 25.40°, rel. 31.9; 25.94°, rel. 23.4; 28.16°, rel. 39.0; 29.56°, rel. 32.6; 37.29°, rel. 26.8

No. 11
# La6PdAu2C
Simulated powder XRD pattern, Cu Kα (weighted mean of Kα1 and Kα2). Input: a DFT-relaxed cell (PBE, Alexandria).

Structural model:
Lattice parameters (Å, degrees): 6.978 7.828 12.731 90.00 122.97 90.00
Sites, in units of the cell vectors:
1 La 0.099 0.208 0.442
2 La 0.099 0.292 0.942
3 La 0.245 0.670 0.437
4 La 0.245 0.830 0.937
5 La 0.360 0.038 0.232
6 La 0.360 0.462 0.732
7 La 0.640 0.538 0.268
8 La 0.640 0.962 0.768
9 La 0.755 0.170 0.063
10 La 0.755 0.330 0.563
11 La 0.901 0.708 0.058
12 La 0.901 0.792 0.558
13 Pd 0.500 0.000 0.500
14 Pd 0.500 0.500 0.000
15 Au 0.188 0.098 0.740
16 Au 0.188 0.402 0.240
17 Au 0.812 0.598 0.760
18 Au 0.812 0.902 0.260
19 C 0.000 0.000 0.000
20 C 0.000 0.500 0.500

Principal peaks in the range 10 to 80 degrees two-theta, low angle first:
28.23°, rel. 94.5; 29.22°, rel. 100.0; 30.41°, rel. 64.1; 31.09°, rel. 56.1; 34.04°, rel. 38.5; 37.77°, rel. 55.5

No. 12
# MgVAuC
Simulated powder XRD pattern, Cu Kα (weighted mean of Kα1 and Kα2). Input: a DFT-relaxed cell (PBE, Alexandria).

Structural model:
Lattice parameters (Å, degrees): 6.918 6.918 6.918 155.89 155.89 34.36
Sites, in units of the cell vectors:
1 Mg 0.000 0.000 0.000
2 V 0.675 0.675 0.000
3 Au 0.354 0.354 0.000
4 C 0.174 0.174 0.000

Principal peaks in the range 10 to 80 degrees two-theta, low angle first:
13.40°, rel. 92.1; 31.70°, rel. 61.3; 37.21°, rel. 100.0; 44.33°, rel. 35.7; 46.54°, rel. 42.4; 76.88°, rel. 24.2

Which formula does entry 10 have? La2AuC2N6